# 1
Theoretical XRD peak list of Ce6Rh5 for Cu Kα, from a cell relaxed with GGA-PBE.
Kinematic intensities with the Lorentz-polarization factor, no thermal factor.

Atomic structure:
Lattice parameters (Å, degrees): 6.9320 6.9320 6.9446 99.39 99.39 119.79
Fractional positions:
Ce: 0.0735 0.4136 0.7423
Ce: 0.2422 0.2422 0.2441
Ce: 0.4136 0.0735 0.7423
Ce: 0.5864 0.9265 0.2577
Ce: 0.7578 0.7578 0.7559
Ce: 0.9265 0.5864 0.2577
Rh: 0.0000 0.0000 0.5000
Rh: 0.1692 0.8308 0.0000
Rh: 0.3426 0.6574 0.5000
Rh: 0.6574 0.3426 0.5000
Rh: 0.8308 0.1692 0.0000

Main lines, by angle (2θ from 10° to 90°):
| d/Å | two_theta | I (rel.) |
| --- | --- | --- |
| 2.841 | 31.5 | 100 |
| 2.828 | 31.6 | 50 |
| 2.004 | 45.2 | 73 |
| 1.643 | 56.0 | 19 |
| 1.632 | 56.4 | 19 |
| 1.266 | 75.0 | 24 |

=====

# 2
Theoretical XRD peak list of Ce3Rh for Cu Kα, from a cell relaxed with GGA-PBE.
Kinematic intensities with the Lorentz-polarization factor, no thermal factor.

Atomic structure:
Lattice parameters (Å, degrees): 11.7207 11.7207 5.7291 90.00 90.00 90.00
Fractional positions:
Ce: 0.0405 0.5888 0.2150
Ce: 0.0888 0.9595 0.7150
Ce: 0.1137 0.1856 0.4976
Ce: 0.1230 0.6645 0.7905
Ce: 0.1645 0.8770 0.2905
Ce: 0.1856 0.3863 0.0024
Ce: 0.3144 0.1137 0.0024
Ce: 0.3355 0.6230 0.2905
Ce: 0.3770 0.8355 0.7905
Ce: 0.3863 0.3144 0.4976
Ce: 0.4112 0.5405 0.7150
Ce: 0.4595 0.9112 0.2150
Ce: 0.5405 0.0888 0.7850
Ce: 0.5888 0.4595 0.2850
Ce: 0.6137 0.6856 0.5024
Ce: 0.6230 0.1645 0.2095
Ce: 0.6645 0.3770 0.7095
Ce: 0.6856 0.8863 0.9976
Ce: 0.8144 0.6137 0.9976
Ce: 0.8355 0.1230 0.7095
Ce: 0.8770 0.3355 0.2095
Ce: 0.8863 0.8144 0.5024
Ce: 0.9112 0.0405 0.2850
Ce: 0.9595 0.4112 0.7850
Rh: 0.0710 0.1711 0.0050
Rh: 0.1711 0.4290 0.4950
Rh: 0.3289 0.0710 0.4950
Rh: 0.4290 0.3289 0.0050
Rh: 0.5710 0.6711 0.9950
Rh: 0.6711 0.9290 0.5050
Rh: 0.8289 0.5710 0.5050
Rh: 0.9290 0.8289 0.9950

Main lines, by angle (2θ from 10° to 90°):
| d/Å | two_theta | I (rel.) |
| --- | --- | --- |
| 2.930 | 30.5 | 48 |
| 2.827 | 31.6 | 86 |
| 2.707 | 33.1 | 76 |
| 2.621 | 34.2 | 100 |
| 2.546 | 35.2 | 63 |
| 2.267 | 39.8 | 99 |

=====

# 3
Theoretical XRD peak list of Ce8Ru5Rh for Cu Kα, from a cell relaxed with GGA-PBE.
Kinematic intensities with the Lorentz-polarization factor, no thermal factor.

Atomic structure:
Lattice parameters (Å, degrees): 7.4438 7.4438 7.4438 109.17 109.17 110.07
Fractional positions:
Ce: 0.0127 0.3746 0.2484
Ce: 0.1262 0.7643 0.7516
Ce: 0.1311 0.2645 0.7541
Ce: 0.2357 0.9873 0.3619
Ce: 0.5104 0.3770 0.2459
Ce: 0.6230 0.8689 0.1334
Ce: 0.6254 0.8738 0.6381
Ce: 0.7355 0.4896 0.8666
Ru: 0.0000 0.0000 0.0000
Ru: 0.2498 0.6307 0.1214
Ru: 0.3693 0.4908 0.6191
Ru: 0.5092 0.1283 0.8786
Ru: 0.8717 0.7502 0.3809
Rh: 0.7500 0.2500 0.5000

Main lines, by angle (2θ from 10° to 90°):
| d/Å | two_theta | I (rel.) |
| --- | --- | --- |
| 3.033 | 29.4 | 19 |
| 2.726 | 32.8 | 100 |
| 2.701 | 33.2 | 48 |
| 2.301 | 39.1 | 49 |
| 2.289 | 39.4 | 21 |
| 1.691 | 54.2 | 18 |

=====

# 4
Theoretical XRD peak list of Ce6RuRh3 for Cu Kα, from a cell relaxed with GGA-PBE.
Kinematic intensities with the Lorentz-polarization factor, no thermal factor.

Atomic structure:
Lattice parameters (Å, degrees): 11.5122 3.9229 11.8786 90.00 115.44 90.00
Fractional positions:
Ce: 0.0283 0.2500 0.4212
Ce: 0.1363 0.2500 0.9857
Ce: 0.2108 0.7500 0.2711
Ce: 0.2526 0.7500 0.7753
Ce: 0.4068 0.2500 0.5618
Ce: 0.4188 0.7500 0.1331
Ce: 0.5812 0.2500 0.8669
Ce: 0.5932 0.7500 0.4382
Ce: 0.7474 0.2500 0.2247
Ce: 0.7892 0.2500 0.7289
Ce: 0.8637 0.7500 0.0143
Ce: 0.9717 0.7500 0.5788
Ru: 0.4023 0.2500 0.3086
Ru: 0.5977 0.7500 0.6914
Rh: 0.0089 0.2500 0.1688
Rh: 0.2193 0.7500 0.5142
Rh: 0.3856 0.2500 0.9565
Rh: 0.6144 0.7500 0.0435
Rh: 0.7807 0.2500 0.4858
Rh: 0.9911 0.7500 0.8312

Main lines, by angle (2θ from 10° to 90°):
| d/Å | two_theta | I (rel.) |
| --- | --- | --- |
| 2.955 | 30.2 | 79 |
| 2.817 | 31.8 | 60 |
| 2.733 | 32.8 | 62 |
| 2.597 | 34.5 | 100 |
| 2.387 | 37.7 | 96 |
| 1.961 | 46.3 | 75 |

=====

# 5
Theoretical XRD peak list of Ce8Ru2Rh for Cu Kα, from a cell relaxed with GGA-PBE.
Kinematic intensities with the Lorentz-polarization factor, no thermal factor.

Atomic structure:
Lattice parameters (Å, degrees): 7.4338 7.4338 5.7601 100.81 100.81 115.44
Fractional positions:
Ce: 0.1012 0.3212 0.5871
Ce: 0.2216 0.7784 0.0000
Ce: 0.3212 0.1012 0.5871
Ce: 0.3770 0.3770 0.1731
Ce: 0.6230 0.6230 0.8269
Ce: 0.6788 0.8988 0.4129
Ce: 0.7784 0.2216 0.0000
Ce: 0.8988 0.6788 0.4129
Ru: 0.2942 0.7058 0.5000
Ru: 0.7058 0.2942 0.5000
Rh: 0.0000 0.0000 0.0000

Main lines, by angle (2θ from 10° to 90°):
| d/Å | two_theta | I (rel.) |
| --- | --- | --- |
| 2.807 | 31.9 | 100 |
| 2.715 | 33.0 | 64 |
| 2.656 | 33.8 | 46 |
| 2.573 | 34.9 | 69 |
| 2.400 | 37.5 | 60 |
| 2.275 | 39.6 | 59 |

=====

# 6
Theoretical XRD peak list of Ce8Ru2Rh3 for Cu Kα, from a cell relaxed with GGA-PBE.
Kinematic intensities with the Lorentz-polarization factor, no thermal factor.

Atomic structure:
Lattice parameters (Å, degrees): 8.1715 8.1715 5.3822 105.82 105.82 61.99
Fractional positions:
Ce: 0.1160 0.1160 0.0047
Ce: 0.1754 0.5897 0.4947
Ce: 0.3256 0.3256 0.0343
Ce: 0.4103 0.8246 0.5053
Ce: 0.5897 0.1754 0.4947
Ce: 0.6744 0.6744 0.9657
Ce: 0.8246 0.4103 0.5053
Ce: 0.8840 0.8840 0.9953
Ru: 0.2141 0.2141 0.5087
Ru: 0.7859 0.7859 0.4913
Rh: 0.0000 0.0000 0.5000
Rh: 0.3239 0.6761 0.0000
Rh: 0.6761 0.3239 0.0000

Main lines, by angle (2θ from 10° to 90°):
| d/Å | two_theta | I (rel.) |
| --- | --- | --- |
| 3.247 | 27.5 | 50 |
| 2.745 | 32.6 | 51 |
| 2.605 | 34.4 | 84 |
| 2.599 | 34.5 | 100 |
| 2.551 | 35.2 | 98 |
| 2.117 | 42.7 | 70 |

=====

# 7
Theoretical XRD peak list of CeZnRuRh for Cu Kα, from a cell relaxed with GGA-PBE.
Kinematic intensities with the Lorentz-polarization factor, no thermal factor.

Atomic structure:
Lattice parameters (Å, degrees): 3.6354 4.2080 4.3998 90.00 90.00 90.00
Fractional positions:
Ce: 0.0000 0.0000 0.0000
Zn: 0.0000 0.5000 0.5000
Ru: 0.5000 0.5000 0.0000
Rh: 0.5000 0.0000 0.5000

Main lines, by angle (2θ from 10° to 90°):
| d/Å | two_theta | I (rel.) |
| --- | --- | --- |
| 2.333 | 38.6 | 100 |
| 2.200 | 41.0 | 21 |
| 2.104 | 43.0 | 18 |
| 1.521 | 60.9 | 13 |
| 1.294 | 73.1 | 15 |
| 1.254 | 75.8 | 13 |

=====

# 8
Theoretical XRD peak list of CeRh3S4 for Cu Kα, from a cell relaxed with GGA-PBE.
Kinematic intensities with the Lorentz-polarization factor, no thermal factor.

Atomic structure:
Lattice parameters (Å, degrees): 6.5789 6.5789 6.5789 90.00 90.00 90.00
Fractional positions:
Ce: 0.0000 0.0000 0.0000
Ce: 0.5000 0.5000 0.5000
Rh: 0.0000 0.2500 0.5000
Rh: 0.0000 0.7500 0.5000
Rh: 0.2500 0.5000 0.0000
Rh: 0.5000 0.0000 0.2500
Rh: 0.5000 0.0000 0.7500
Rh: 0.7500 0.5000 0.0000
S: 0.2500 0.2500 0.2500
S: 0.2500 0.2500 0.7500
S: 0.2500 0.7500 0.2500
S: 0.2500 0.7500 0.7500
S: 0.7500 0.2500 0.2500
S: 0.7500 0.2500 0.7500
S: 0.7500 0.7500 0.2500
S: 0.7500 0.7500 0.7500

Main lines, by angle (2θ from 10° to 90°):
| d/Å | two_theta | I (rel.) |
| --- | --- | --- |
| 2.942 | 30.4 | 96 |
| 2.686 | 33.4 | 100 |
| 1.825 | 50.0 | 23 |
| 1.758 | 52.0 | 56 |
| 1.645 | 55.9 | 31 |
| 1.436 | 65.0 | 21 |

=====

# 9
Theoretical XRD peak list of CeSbRh6 for Cu Kα, from a cell relaxed with GGA-PBE.
Kinematic intensities with the Lorentz-polarization factor, no thermal factor.

Atomic structure:
Lattice parameters (Å, degrees): 7.9955 8.0026 4.0421 90.00 90.00 90.00
Fractional positions:
Ce: 0.0000 0.0000 0.0000
Ce: 0.5000 0.5000 0.0000
Sb: 0.0000 0.5000 0.0000
Sb: 0.5000 0.0000 0.0000
Rh: 0.0000 0.2540 0.5000
Rh: 0.0000 0.7460 0.5000
Rh: 0.2458 0.5000 0.5000
Rh: 0.2500 0.2500 0.0000
Rh: 0.2500 0.7500 0.0000
Rh: 0.2542 0.0000 0.5000
Rh: 0.5000 0.2460 0.5000
Rh: 0.5000 0.7540 0.5000
Rh: 0.7458 0.0000 0.5000
Rh: 0.7500 0.2500 0.0000
Rh: 0.7500 0.7500 0.0000
Rh: 0.7542 0.5000 0.5000

Main lines, by angle (2θ from 10° to 90°):
| d/Å | two_theta | I (rel.) |
| --- | --- | --- |
| 2.317 | 38.9 | 100 |
| 2.021 | 44.8 | 17 |
| 2.000 | 45.4 | 32 |
| 1.422 | 65.7 | 21 |
| 1.216 | 78.7 | 12 |
| 1.207 | 79.4 | 24 |

=====

# 10
Theoretical XRD peak list of Ce2SbRh6 for Cu Kα, from a cell relaxed with GGA-PBE.
Kinematic intensities with the Lorentz-polarization factor, no thermal factor.

Atomic structure:
Lattice parameters (Å, degrees): 5.5758 5.5758 6.3476 101.38 101.38 60.34
Fractional positions:
Ce: 0.1368 0.1368 0.3110
Ce: 0.8632 0.8632 0.6889
Sb: 0.5000 0.5000 0.5000
Rh: 0.0994 0.6204 0.1797
Rh: 0.3796 0.9006 0.8203
Rh: 0.3843 0.3843 0.8288
Rh: 0.6157 0.6157 0.1712
Rh: 0.6204 0.0994 0.1797
Rh: 0.9006 0.3796 0.8203

Main lines, by angle (2θ from 10° to 90°):
| d/Å | two_theta | I (rel.) |
| --- | --- | --- |
| 3.090 | 28.9 | 36 |
| 2.751 | 32.6 | 51 |
| 2.347 | 38.4 | 65 |
| 2.336 | 38.5 | 100 |
| 2.158 | 41.9 | 93 |
| 2.116 | 42.7 | 46 |

=====

# 11
Theoretical XRD peak list of CeSbRhSe for Cu Kα, from a cell relaxed with GGA-PBE.
Kinematic intensities with the Lorentz-polarization factor, no thermal factor.

Atomic structure:
Lattice parameters (Å, degrees): 4.5820 4.5820 8.7707 90.00 90.00 90.00
Fractional positions:
Ce: 0.2500 0.2500 0.2065
Ce: 0.7500 0.7500 0.7935
Sb: 0.2500 0.2500 0.6535
Sb: 0.7500 0.7500 0.3465
Rh: 0.2500 0.7500 0.5000
Rh: 0.7500 0.2500 0.5000
Se: 0.2500 0.7500 0.0000
Se: 0.7500 0.2500 0.0000

Main lines, by angle (2θ from 10° to 90°):
| d/Å | two_theta | I (rel.) |
| --- | --- | --- |
| 3.168 | 28.2 | 49 |
| 2.606 | 34.4 | 100 |
| 2.291 | 39.3 | 57 |
| 1.856 | 49.1 | 21 |
| 1.620 | 56.8 | 19 |
| 1.376 | 68.2 | 27 |

=====

# 12
Theoretical XRD peak list of Ce2SmSb3Rh4 for Cu Kα, from a cell relaxed with GGA-PBE.
Kinematic intensities with the Lorentz-polarization factor, no thermal factor.

Atomic structure:
Lattice parameters (Å, degrees): 4.3941 4.3941 11.5497 90.00 90.00 90.00
Fractional positions:
Ce: 0.0000 0.5000 0.2281
Ce: 0.5000 0.0000 0.7719
Sm: 0.0000 0.0000 0.5000
Sb: 0.0000 0.5000 0.8715
Sb: 0.5000 0.0000 0.1285
Sb: 0.5000 0.5000 0.5000
Rh: 0.0000 0.0000 0.0000
Rh: 0.0000 0.5000 0.6499
Rh: 0.5000 0.0000 0.3501
Rh: 0.5000 0.5000 0.0000

Main lines, by angle (2θ from 10° to 90°):
| d/Å | two_theta | I (rel.) |
| --- | --- | --- |
| 2.895 | 30.9 | 44 |
| 2.736 | 32.7 | 100 |
| 2.197 | 41.1 | 58 |
| 2.115 | 42.8 | 30 |
| 2.045 | 44.3 | 24 |
| 1.351 | 69.6 | 22 |

=====

# 13
Theoretical XRD peak list of CeSc2Rh for Cu Kα, from a cell relaxed with GGA-PBE.
Kinematic intensities with the Lorentz-polarization factor, no thermal factor.

Atomic structure:
Lattice parameters (Å, degrees): 6.8603 9.0103 6.0560 90.00 90.00 90.00
Fractional positions:
Ce: 0.0355 0.2500 0.1354
Ce: 0.4645 0.7500 0.6354
Ce: 0.5355 0.2500 0.3646
Ce: 0.9645 0.7500 0.8646
Sc: 0.1783 0.0615 0.6592
Sc: 0.1783 0.4385 0.6592
Sc: 0.3217 0.5615 0.1592
Sc: 0.3217 0.9385 0.1592
Sc: 0.6783 0.0615 0.8408
Sc: 0.6783 0.4385 0.8408
Sc: 0.8217 0.5615 0.3408
Sc: 0.8217 0.9385 0.3408
Rh: 0.1236 0.7500 0.4350
Rh: 0.3764 0.2500 0.9350
Rh: 0.6236 0.7500 0.0650
Rh: 0.8764 0.2500 0.5650

Main lines, by angle (2θ from 10° to 90°):
| d/Å | two_theta | I (rel.) |
| --- | --- | --- |
| 4.505 | 19.7 | 76 |
| 4.054 | 21.9 | 38 |
| 2.833 | 31.6 | 36 |
| 2.729 | 32.8 | 37 |
| 2.648 | 33.9 | 100 |
| 2.505 | 35.8 | 34 |